Theoretical X-ray diffraction stick pattern of SrVPO6 for λ = 1.5418 Å (Cu Kα), from a cell relaxed with PBE+U.

Crystal structure
```
data_SrVPO6
_chemical_formula_sum 'Sr4 V4 P4 O24'
_symmetry_space_group_name_H-M 'P 1 21/c 1'
_symmetry_Int_Tables_number 14
_cell_length_a 5.620
_cell_length_b 9.879
_cell_length_c 8.590
_cell_angle_alpha 90.00
_cell_angle_beta 91.92
_cell_angle_gamma 90.00
loop_
_symmetry_equiv_pos_as_xyz
'x,y,z'
'-x,-y,-z'
'-x,y+1/2,-z+1/2'
'x,-y+1/2,z+1/2'
loop_
_atom_site_label
_atom_site_type_symbol
_atom_site_fract_x
_atom_site_fract_y
_atom_site_fract_z
Sr1 Sr 0.135 0.188 0.430
V1 V 0.345 0.591 0.412
P1 P 0.337 0.605 0.787
O1 O 0.086 0.638 0.329
O2 O 0.124 0.574 0.886
O3 O 0.254 0.659 0.620
O4 O 0.318 0.077 0.966
O5 O 0.475 0.033 0.272
O6 O 0.495 0.215 0.637
```

Peak list (6 most intense, 15 to 90 degrees two-theta, low angle first)
- 2θ 21.19, intensity 61, (1 1 1)
- 2θ 25.96, intensity 73, (1 2 -1)
- 2θ 26.55, intensity 100, (1 0 2)
- 2θ 27.26, intensity 95, (1 1 -2)
- 2θ 31.49, intensity 49, (1 3 0)
- 2θ 33.16, intensity 44, (2 1 0)